No. 1
Calculated powder XRD pattern of CoBiH2 for CuKα, from a DFT-relaxed cell (GGA-PBE, Alexandria).

Cell and atoms:
abc: 4.5437 4.5437 9.1211
angles: 90.00 90.00 90.00
Space group I4_1/amd (No. 141, origin choice 2)
Inequivalent atoms, fractional coordinates:
Co 0.0000 0.2500 0.3750
Bi 0.0000 0.2500 0.8750
H 0.0000 0.0000 0.5000

Most intense lines, 2θ = 10–80°, sorted by position:
index  2θ (°)  intensity
1 0 1  21.85  40.2
1 1 2  34.14  100.0
1 0 3  35.53  13.4
0 0 4  39.52  16.5
2 0 0  39.67  33.3
2 1 1  45.75  13.6
2 0 4  57.24  22.8
1 1 6  68.25  13.5
3 1 2  68.46  26.8
2 2 4  71.89  11.8


No. 2
Calculated powder XRD pattern of HfCo2Bi2 for CuKα, from a DFT-relaxed cell (GGA-PBE, Alexandria).

Cell and atoms:
abc: 6.9987 6.9987 3.8945
angles: 90.00 90.00 90.00
Space group P4/mbm (No. 127)
Inequivalent atoms, fractional coordinates:
Hf 0.0000 0.0000 0.0000
Co 0.1206 0.3794 0.0000
Bi 0.1779 0.6779 0.5000

Most intense lines, 2θ = 10–80°, sorted by position:
index  2θ (°)  intensity
2 1 0  28.52  28.6
1 1 1  29.18  22.8
2 0 1  34.46  80.1
2 2 0  36.31  20.2
2 1 1  36.84  100.0
3 1 0  40.77  44.6
0 0 2  46.64  22.9
4 1 1  59.40  22.5
3 3 1  61.00  22.7
3 1 2  63.65  24.1


No. 3
Calculated powder XRD pattern of Co2NiHgBi for CuKα, from a DFT-relaxed cell (GGA-PBE, Alexandria).

Cell and atoms:
abc: 4.5420 4.5420 4.8850
angles: 90.00 90.00 90.00
Space group P4/mmm (No. 123)
Inequivalent atoms, fractional coordinates:
Co 0.0000 0.5000 0.0000
Ni 0.0000 0.0000 0.0000
Hg 0.5000 0.5000 0.5000
Bi 0.0000 0.0000 0.5000

Most intense lines, 2θ = 10–80°, sorted by position:
index  2θ (°)  intensity
0 0 1  18.16  21.7
1 1 0  27.78  44.0
1 1 1  33.39  100.0
0 0 2  36.80  31.6
2 0 0  39.69  51.3
1 1 2  46.72  22.5
2 0 2  55.23  38.8
2 2 0  57.38  17.3
3 1 1  68.04  26.0
2 2 2  70.13  18.9


No. 4
Calculated powder XRD pattern of Tl2CoHgBi for CuKα, from a DFT-relaxed cell (GGA-PBE, Alexandria).

Cell and atoms:
abc: 5.1343 5.1343 5.1351
angles: 90.00 90.00 90.00
Space group P4/mmm (No. 123)
Inequivalent atoms, fractional coordinates:
Tl 0.0000 0.5000 0.0000
Co 0.0000 0.0000 0.0000
Hg 0.5000 0.5000 0.5000
Bi 0.0000 0.0000 0.5000

Most intense lines, 2θ = 10–80°, sorted by position:
index  2θ (°)  intensity
1 0 0  17.27  2.4
1 1 0  24.52  1.8
1 1 1  30.15  100.0
2 0 0  34.95  69.9
2 1 0  39.23  1.1
1 1 2  43.16  0.8
2 2 0  50.26  50.6
3 1 1  59.73  45.5
2 2 2  62.68  17.5
4 0 0  73.82  8.2


No. 5
Calculated powder XRD pattern of Ho5CoBi for CuKα, from a DFT-relaxed cell (GGA-PBE, Alexandria).

Cell and atoms:
abc: 11.8313 8.5253 9.4049
angles: 90.00 108.25 90.00
Space group C2/c (No. 15)
Inequivalent atoms, fractional coordinates:
Ho 0.0000 0.0936 0.2500
Ho 0.0929 0.2718 0.9729
Ho 0.2156 0.1120 0.6440
Co 0.0000 0.0000 0.0000
Bi 0.0000 0.4526 0.2500

Most intense lines, 2θ = 10–80°, sorted by position:
index  2θ (°)  intensity
1 1 -2  21.65  27.4
2 2 -1  26.25  34.0
0 2 2  28.96  29.8
3 1 1  30.45  100.0
4 0 -2  31.88  49.0
1 3 -1  33.29  37.9
4 2 0  38.40  27.9
3 3 -1  39.16  20.9
2 0 4  48.36  29.2
5 3 -3  53.48  20.2